Calculated PXRD pattern
Compound: Sc8Ni2Pd
Radiation: Cu Kα (λ = 1.5418 Å)
Structure: a cell relaxed with GGA-PBE
Neutral-atom scattering factors, no anomalous dispersion.

Top 6 peaks for 2θ = 10–80°, low angle first:
- 23.49°, I 37
- 34.95°, I 60
- 36.26°, I 100
- 38.32°, I 48
- 41.91°, I 52
- 42.74°, I 34

Atomic structure:
Lattice parameters (Å, degrees): 7.195 7.195 5.074 99.02 99.02 114.46
Fractional positions:
Sc: 0.078 0.331 0.592
Sc: 0.228 0.772 0.000
Sc: 0.331 0.078 0.592
Sc: 0.372 0.372 0.184
Sc: 0.628 0.628 0.816
Sc: 0.669 0.922 0.408
Sc: 0.772 0.228 0.000
Sc: 0.922 0.669 0.408
Ni: 0.305 0.695 0.500
Ni: 0.695 0.305 0.500
Pd: 0.000 0.000 0.000